PrErZn2: calculated powder XRD pattern (a wavelength of 1.5418 Å), based on a structure optimized by DFT (PBE).

Structural model:
```
data_PrErZn2
_chemical_formula_sum 'Pr4 Er4 Zn8'
_symmetry_space_group_name_H-M 'F m -3 m'
_symmetry_Int_Tables_number 225
_symmetry_space_group_name_Hall '-F 4 2 3'
_cell_length_a 7.2571
_cell_length_b 7.2571
_cell_length_c 7.2571
_cell_angle_alpha 90.00
_cell_angle_beta 90.00
_cell_angle_gamma 90.00
loop_
_atom_site_label
_atom_site_fract_x
_atom_site_fract_y
_atom_site_fract_z
Pr1 0.0000 0.0000 0.0000
Er1 0.0000 0.0000 0.5000
Zn1 0.2500 0.2500 0.2500
```

Top 7 peaks for 5° ≤ 2θ ≤ 70°, by angle:
2θ (°)	intensity
21.21	1
24.53	16
34.97	100
43.18	5
50.29	18
56.73	7
62.72	36